1.
For MgTe4Mo3WSe2S2, a DFT-relaxed cell (GGA-PBE, the Materials Project) gives the theoretical X-ray diffraction stick pattern in this record (Cu Kα X-rays).
No peak broadening, texture or thermal motion is included.

Structure:
```
MgTe4Mo3WSe2S2
1.0
3.390 0.000 0.000
-1.695 2.936 0.000
0.000 0.000 46.326
Mg Te Mo W Se S
1 4 3 1 2 2
Direct
0.000 0.000 0.000 Mg
0.333 0.667 0.064 Te
0.333 0.667 0.145 Te
0.333 0.667 0.682 Te
0.333 0.667 0.763 Te
0.333 0.667 0.535 Mo
0.667 0.333 0.105 Mo
0.667 0.333 0.723 Mo
0.333 0.667 0.902 W
0.667 0.333 0.499 Se
0.667 0.333 0.570 Se
0.667 0.333 0.869 S
0.667 0.333 0.934 S
```

Principal peaks in the range 10 to 90 degrees two-theta, sorted by position:
Position (°2θ)	d_spacing	I (rel.)
11.46	7.721	50.2
30.46	2.934	71.4
31.98	2.799	29.2
34.24	2.619	70.9
37.34	2.409	23.2
39.78	2.266	100.0
41.10	2.196	26.7
54.11	1.695	42.1
55.08	1.667	18.3
69.21	1.357	19.0

=====

2.
For MgTe2Mo3WSe4S2, a DFT-relaxed cell (GGA-PBE, the Materials Project) gives the theoretical X-ray diffraction stick pattern in this record (Cu Kα X-rays).
No peak broadening, texture or thermal motion is included.

Structure:
```
MgTe2Mo3WSe4S2
1.0
3.336 0.000 0.000
-1.668 2.889 0.000
0.000 -0.001 38.053
Mg Te Mo W Se S
1 2 3 1 4 2
Direct
0.000 0.000 0.000 Mg
0.410 0.742 0.725 Te
0.410 0.742 0.825 Te
0.076 0.075 0.399 Mo
0.076 0.075 0.775 Mo
0.410 0.742 0.587 Mo
0.410 0.742 0.211 W
0.077 0.076 0.167 Se
0.077 0.076 0.255 Se
0.410 0.742 0.355 Se
0.410 0.742 0.443 Se
0.077 0.076 0.547 S
0.077 0.076 0.627 S
```

Principal peaks in the range 10 to 90 degrees two-theta, sorted by position:
Position (°2θ)	d_spacing	I (rel.)
11.63	7.611	100.0
13.96	6.342	14.7
30.96	2.888	41.5
33.17	2.701	13.5
36.38	2.469	82.9
39.15	2.301	18.6
44.04	2.056	46.9
45.84	1.980	13.3
55.06	1.668	26.4
67.80	1.382	13.0

=====

3.
For MgTe2Mo3WSe4S2, a DFT-relaxed cell (GGA-PBE, the Materials Project) gives the theoretical X-ray diffraction stick pattern in this record (Cu Kα X-rays).
No peak broadening, texture or thermal motion is included.

Structure:
```
MgTe2Mo3WSe4S2
1.0
3.336 0.000 0.000
-1.668 2.889 0.000
0.000 0.000 46.677
Mg Te Mo W Se S
1 2 3 1 4 2
Direct
0.000 0.000 0.000 Mg
0.333 0.667 0.063 Te
0.333 0.667 0.144 Te
0.333 0.667 0.534 Mo
0.667 0.333 0.104 Mo
0.667 0.333 0.722 Mo
0.333 0.667 0.900 W
0.333 0.667 0.686 Se
0.333 0.667 0.757 Se
0.667 0.333 0.498 Se
0.667 0.333 0.569 Se
0.667 0.333 0.867 S
0.667 0.333 0.932 S
```

Principal peaks in the range 10 to 90 degrees two-theta, sorted by position:
Position (°2θ)	d_spacing	I (rel.)
11.37	7.779	74.4
30.97	2.887	69.1
32.44	2.760	34.7
34.65	2.589	68.7
37.67	2.388	31.5
40.06	2.251	100.0
41.36	2.183	25.0
55.07	1.668	46.3
56.01	1.642	21.3
70.24	1.340	18.6

=====

4.
For MgTe2Mo3WSe4S2, a DFT-relaxed cell (GGA-PBE, the Materials Project) gives the theoretical X-ray diffraction stick pattern in this record (Cu Kα X-rays).
No peak broadening, texture or thermal motion is included.

Structure:
```
MgTe2Mo3WSe4S2
1.0
2.898 -1.673 0.000
2.898 1.673 0.000
-0.073 0.000 44.407
Mg Te Mo W Se S
1 2 3 1 4 2
Direct
0.000 0.000 0.000 Mg
0.667 0.667 0.495 Te
0.668 0.668 0.581 Te
0.334 0.334 0.909 Mo
0.667 0.667 0.109 Mo
0.667 0.667 0.727 Mo
0.334 0.334 0.538 W
0.333 0.333 0.071 Se
0.334 0.334 0.146 Se
0.334 0.334 0.690 Se
0.334 0.334 0.765 Se
0.667 0.667 0.875 S
0.668 0.668 0.944 S
```

Principal peaks in the range 10 to 90 degrees two-theta, sorted by position:
Position (°2θ)	d_spacing	I (rel.)
11.96	7.401	36.4
30.87	2.897	50.3
32.50	2.755	29.4
33.20	2.699	15.6
34.92	2.569	75.6
38.23	2.354	27.4
40.83	2.210	100.0
42.24	2.140	21.8
54.87	1.673	38.8
55.91	1.644	21.1

=====

5.
For MgTe4Mo3WSe2S2, a DFT-relaxed cell (GGA-PBE, the Materials Project) gives the theoretical X-ray diffraction stick pattern in this record (Cu Kα X-rays).
No peak broadening, texture or thermal motion is included.

Structure:
```
MgTe4Mo3WSe2S2
1.0
2.934 -1.694 0.000
2.934 1.694 0.000
-0.001 0.000 38.710
Mg Te Mo W Se S
1 4 3 1 2 2
Direct
0.000 0.000 0.000 Mg
0.003 0.003 0.736 Te
0.003 0.003 0.833 Te
0.336 0.336 0.172 Te
0.336 0.336 0.269 Te
0.003 0.003 0.221 Mo
0.336 0.336 0.408 Mo
0.336 0.336 0.784 Mo
0.003 0.003 0.596 W
0.336 0.336 0.553 Se
0.336 0.336 0.639 Se
0.003 0.003 0.370 S
0.003 0.003 0.447 S
```

Principal peaks in the range 10 to 90 degrees two-theta, sorted by position:
Position (°2θ)	d_spacing	I (rel.)
11.43	7.742	100.0
13.73	6.452	14.7
30.49	2.932	54.9
35.79	2.509	90.9
38.50	2.338	18.6
43.29	2.090	50.8
45.05	2.012	16.1
54.14	1.694	31.5
66.61	1.404	14.4
76.35	1.247	14.1

=====

6.
For MgTe2Mo3WSe4S2, a DFT-relaxed cell (GGA-PBE, the Materials Project) gives the theoretical X-ray diffraction stick pattern in this record (Cu Kα X-rays).
No peak broadening, texture or thermal motion is included.

Structure:
```
MgTe2Mo3WSe4S2
1.0
3.338 0.000 0.000
-1.669 2.891 0.000
0.000 0.000 44.505
Mg Te Mo W Se S
1 2 3 1 4 2
Direct
0.000 0.000 0.000 Mg
0.333 0.667 0.427 Te
0.333 0.667 0.512 Te
0.333 0.667 0.899 Mo
0.667 0.333 0.100 Mo
0.667 0.333 0.470 Mo
0.333 0.667 0.282 W
0.333 0.667 0.062 Se
0.333 0.667 0.138 Se
0.667 0.333 0.862 Se
0.667 0.333 0.937 Se
0.667 0.333 0.247 S
0.667 0.333 0.316 S
```

Principal peaks in the range 10 to 90 degrees two-theta, sorted by position:
Position (°2θ)	d_spacing	I (rel.)
11.93	7.417	52.0
30.96	2.889	70.6
32.57	2.749	32.3
34.98	2.565	80.9
38.27	2.352	25.8
40.86	2.209	100.0
42.26	2.139	29.3
55.03	1.669	41.3
56.07	1.640	19.7
70.76	1.332	19.3